1.
# Ho7Ru2C11
Theoretical X-ray diffraction stick pattern, copper Kα. Input: DFT lattice parameters and positions (PBE).
Lines closer than 0.1° are merged.

Cell and atoms:
Lattice parameters (Å, degrees): 3.4271 16.5201 19.8343 90.00 90.00 90.00
Space group Cmcm (No. 63)
One atom of each set of equivalent atoms:
Ho (0.0000, 0.0227, 0.1272) x8
Ho (0.0000, 0.1615, 0.5193) x8
Ho (0.0000, 0.2217, 0.1550) x8
Ho (0.0000, 0.3975, 0.2500) x4
Ru (0.0000, 0.4189, 0.7500) x4
Ru (0.0000, 0.5000, 0.0000) x4
C (0.0000, 0.0034, 0.2500) x4
C (0.0000, 0.2209, 0.7500) x4
C (0.0000, 0.2941, 0.5633) x8
C (0.0000, 0.3015, 0.7500) x4
C (0.0000, 0.3668, 0.1229) x8
C (0.0000, 0.3731, 0.5841) x8
C (0.0000, 0.4261, 0.0794) x8

Largest 8 diffraction maxima, low angle first, 2θ = 10–80°:
h k l	2θ/deg	Rel. int.
0 4 4	28.1	100
1 3 2	32.1	48
1 1 4	32.2	67
0 6 2	33.8	54
1 1 5	35.0	57
1 3 4	35.8	56
1 5 0	37.8	70
2 0 0	53.4	50

=====

2.
# Ho15Si9C
Theoretical X-ray diffraction stick pattern, copper Kα. Input: DFT lattice parameters and positions (PBE).
Lines closer than 0.1° are merged.

Cell and atoms:
Lattice parameters (Å, degrees): 14.5776 14.5776 6.3555 90.00 90.00 120.00
Space group P6_3mc (No. 186)
One atom of each set of equivalent atoms:
Ho (0.0126, 0.3383, 0.2343) x12
Ho (0.0742, 0.1483, 0.5000) x6
Ho (0.1689, 0.5844, 0.4916) x6
Ho (0.2517, 0.5034, 0.9697) x6
Si (0.0686, 0.5343, 0.9735) x6
Si (0.1360, 0.2721, 0.9644) x6
Si (0.2018, 0.4035, 0.5140) x6
C (0.0000, 0.0000, 0.2469) x2

Largest 8 diffraction maxima, low angle first, 2θ = 10–80°:
h k l	2θ/deg	Rel. int.
2 2 0	24.4	32
3 0 1	25.4	47
1 1 2	30.7	55
4 1 0	32.5	52
3 0 2	35.4	86
4 1 1	35.5	100
3 3 0	37.0	32
0 0 4	58.0	32

=====

3.
# Ho3SnC
Theoretical X-ray diffraction stick pattern, copper Kα. Input: DFT lattice parameters and positions (PBE).
Lines closer than 0.1° are merged.

Cell and atoms:
Lattice parameters (Å, degrees): 5.5788 5.5788 5.5788 90.00 90.00 90.00
Space group Pm-3m (No. 221)
One atom of each set of equivalent atoms:
Ho (0.0000, 0.0000, 0.5000) x3
Sn (0.0000, 0.0000, 0.0000) x1
C (0.5000, 0.5000, 0.5000) x1

Largest 8 diffraction maxima, low angle first, 2θ = 10–80°:
h k l	2θ/deg	Rel. int.
1 0 0	15.9	100
1 1 1	27.7	70
2 0 0	32.1	97
2 1 0	36.0	55
2 2 0	46.0	71
3 0 0	49.0	30
3 1 1	54.6	31
4 2 0	76.3	32

=====

4.
# HoWC2
Theoretical X-ray diffraction stick pattern, copper Kα. Input: DFT lattice parameters and positions (PBE).
Lines closer than 0.1° are merged.

Cell and atoms:
Lattice parameters (Å, degrees): 5.7157 3.3658 10.7908 90.00 90.00 90.00
Space group Pnma (No. 62)
One atom of each set of equivalent atoms:
Ho (0.0853, 0.2500, 0.1366) x4
W (0.0973, 0.7500, 0.3894) x4
C (0.1604, 0.2500, 0.7527) x4
C (0.2250, 0.2500, 0.4854) x4

Largest 8 diffraction maxima, low angle first, 2θ = 10–80°:
h k l	2θ/deg	Rel. int.
1 1 1	32.0	24
2 0 1	32.4	33
0 0 4	33.2	33
1 1 2	35.1	100
1 1 3	39.9	15
2 0 3	40.3	24
3 1 1	56.1	20
1 1 6	60.6	17

=====

5.
# YHo3C8
Theoretical X-ray diffraction stick pattern, copper Kα. Input: DFT lattice parameters and positions (PBE).
Lines closer than 0.1° are merged.

Cell and atoms:
Lattice parameters (Å, degrees): 3.6670 3.6670 12.3544 90.00 90.00 90.00
Space group P4/mmm (No. 123)
One atom of each set of equivalent atoms:
Y (0.0000, 0.0000, 0.0000) x1
Ho (0.0000, 0.0000, 0.5000) x1
Ho (0.5000, 0.5000, 0.2500) x2
C (0.0000, 0.0000, 0.1975) x2
C (0.0000, 0.0000, 0.3034) x2
C (0.5000, 0.5000, 0.0527) x2
C (0.5000, 0.5000, 0.4472) x2

Largest 8 diffraction maxima, low angle first, 2θ = 10–80°:
h k l	2θ/deg	Rel. int.
1 0 2	28.3	100
0 0 4	28.9	33
1 1 0	34.6	51
1 1 4	45.7	38
1 0 6	50.9	29
2 1 2	58.2	29
2 0 4	58.5	18
2 1 6	73.9	19

=====

6.
# KC2IN2
Theoretical X-ray diffraction stick pattern, copper Kα. Input: DFT lattice parameters and positions (PBE).
Lines closer than 0.1° are merged.

Cell and atoms:
Lattice parameters (Å, degrees): 7.5575 4.6309 9.1628 90.00 91.42 90.00
Space group C2/m (No. 12)
One atom of each set of equivalent atoms:
K (0.0000, 0.0000, 0.0000) x2
C (0.1167, 0.5000, 0.2730) x4
I (0.0000, 0.5000, 0.5000) x2
N (0.1721, 0.5000, 0.1542) x4

Largest 8 diffraction maxima, low angle first, 2θ = 10–80°:
h k l	2θ/deg	Rel. int.
0 0 2	19.4	39
1 1 0	22.5	42
2 0 0	23.6	33
1 1 -1	24.4	39
1 1 1	24.7	100
2 0 -2	30.3	25
1 1 -3	37.0	27
1 1 3	37.5	25

=====

7.
# La5C2I9
Theoretical X-ray diffraction stick pattern, copper Kα. Input: DFT lattice parameters and positions (PBE).
Lines closer than 0.1° are merged.

Cell and atoms:
Lattice parameters (Å, degrees): 8.1546 10.2748 14.6289 79.45 80.79 85.29
Space group P-1 (No. 2)
One atom of each set of equivalent atoms:
La (0.0494, 0.4640, 0.3245) x2
La (0.1590, 0.0308, 0.8013) x2
La (0.1761, 0.6465, 0.8600) x2
La (0.2218, 0.1366, 0.2368) x2
La (0.2356, 0.8394, 0.5813) x2
C (0.0408, 0.7244, 0.7172) x2
C (0.0926, 0.8455, 0.7420) x2
I (0.0921, 0.1506, 0.0275) x2
I (0.1170, 0.1572, 0.5017) x2
I (0.1936, 0.8203, 0.2256) x2
I (0.1979, 0.4931, 0.0884) x2
I (0.2478, 0.5593, 0.4989) x2
I (0.2494, 0.3626, 0.7734) x2
I (0.4234, 0.8502, 0.9229) x2
I (0.4592, 0.3455, 0.3007) x2
I (0.4934, 0.0519, 0.6354) x2

Largest 8 diffraction maxima, low angle first, 2θ = 10–80°:
h k l	2θ/deg	Rel. int.
2 -1 2	26.5	76
2 2 2	27.6	77
1 3 2	28.2	100
1 -1 4	28.9	84
-1 1 4	29.1	56
1 -3 1	30.7	91
2 0 -3	31.2	73
3 0 0	33.4	90